For Ac4Ag2S, a structure optimized by DFT (GGA-PBE) gives the computed powder diffraction line list in this record (Cu Kα (weighted mean of Kα1 and Kα2)).

Largest 6 diffraction maxima, in order of rising 2θ, 10 to 80 degrees two-theta:
d 3.207, 2θ 27.82, I 100.0; d 3.130, 2θ 28.52, I 48.5; d 3.068, 2θ 29.10, I 46.8; d 2.896, 2θ 30.88, I 54.6; d 2.546, 2θ 35.25, I 49.7; d 2.194, 2θ 41.15, I 48.8

Cell and atoms:
```
data_Ac4Ag2S
_chemical_formula_sum 'Ac8 Ag4 S2'
_space_group_name_H-M_alt 'C 1 2/m 1'
_space_group_IT_number 12
_cell_length_a 14.154
_cell_length_b 4.387
_cell_length_c 9.331
_cell_angle_alpha 90.00
_cell_angle_beta 125.13
_cell_angle_gamma 90.00
loop_
_space_group_symop_operation_xyz
'x,y,z'
'-x,-y,-z'
'-x,y,-z'
'x,-y,z'
'x+1/2,y+1/2,z'
'-x+1/2,-y+1/2,-z'
'-x+1/2,y+1/2,-z'
'x+1/2,-y+1/2,z'
loop_
_atom_site_label
_atom_site_fract_x
_atom_site_fract_y
_atom_site_fract_z
_atom_site_occupancy
Ac1 0.091 0.000 0.384 1
Ac2 0.168 0.500 0.079 1
Ag1 0.117 0.500 0.676 1
S1 0.000 0.000 0.000 1
```

For Pr3Nd3Co4, a structure optimized by DFT (GGA-PBE) gives the computed powder diffraction line list in this record (Cu Kα (weighted mean of Kα1 and Kα2)).

Largest 6 diffraction maxima, in order of rising 2θ, 10 to 80 degrees two-theta:
d 3.354, 2θ 26.58, I 21.2; d 2.825, 2θ 31.67, I 80.5; d 2.644, 2θ 33.91, I 100.0; d 2.371, 2θ 37.94, I 45.3; d 2.149, 2θ 42.05, I 25.8; d 1.592, 2θ 57.92, I 26.1

Cell and atoms:
```
data_Pr3Nd3Co4
_chemical_formula_sum 'Pr6 Nd6 Co8'
_space_group_name_H-M_alt 'A m m 2'
_space_group_IT_number 38
_cell_length_a 4.297
_cell_length_b 10.592
_cell_length_c 10.619
_cell_angle_alpha 90.00
_cell_angle_beta 90.00
_cell_angle_gamma 90.00
loop_
_space_group_symop_operation_xyz
'x,y,z'
'-x,-y,z'
'-x,y,z'
'x,-y,z'
'x,y+1/2,z+1/2'
'-x,-y+1/2,z+1/2'
'-x,y+1/2,z+1/2'
'x,-y+1/2,z+1/2'
loop_
_atom_site_label
_atom_site_fract_x
_atom_site_fract_y
_atom_site_fract_z
_atom_site_occupancy
Pr1 0.000 0.000 0.000 1
Pr2 0.500 0.250 0.080 1
Nd1 0.000 0.000 0.656 1
Nd2 0.000 0.172 0.329 1
Co1 0.500 0.000 0.225 1
Co2 0.500 0.000 0.436 1
Co3 0.500 0.106 0.827 1
```